# Sr3ZnN3
Theoretical powder X-ray diffraction pattern, Cu Kα X-rays. Input: a structure optimized by DFT (GGA-PBE).
Neutral-atom scattering factors, no anomalous dispersion.

Cell and atoms:
Cell: 7.6724 7.6724 5.3529 Å, 90.00 90.00 120.00°
Space group P6_3/m (No. 176)
Symmetry-distinct sites (fractional):
Sr 0.0674 0.7110 0.2500
Zn 0.3333 0.6667 0.7500
N 0.0870 0.6908 0.7500

The 8 most intense peaks (2θ = 10–90°), by angle:
| two_theta | I/Imax | (hkl) |
| --- | --- | --- |
| 28.6 | 100 | 1 1 1 |
| 31.7 | 66 | 2 0 1 |
| 33.5 | 56 | 0 0 2 |
| 35.8 | 39 | 2 1 0 |
| 40.7 | 43 | 3 0 0 |
| 49.8 | 29 | 2 1 2 |
| 53.7 | 37 | 3 0 2 |
| 63.4 | 24 | 3 2 1 |

=====

# Sr3Zr3N5
Theoretical powder X-ray diffraction pattern, Cu Kα X-rays. Input: a structure optimized by DFT (GGA-PBE).
Neutral-atom scattering factors, no anomalous dispersion.

Cell and atoms:
Cell: 6.076 8.402 9.140 Å, 110.31 101.65 103.00°
Space group P-1 (No. 2)
Symmetry-distinct sites (fractional):
Sr 0.146 0.305 0.402
Sr 0.228 0.185 0.752
Sr 0.246 0.941 0.097
Zr 0.170 0.485 0.138
Zr 0.377 0.814 0.491
Zr 0.391 0.633 0.800
N 0.226 0.604 0.976
N 0.233 0.236 0.058
N 0.265 0.003 0.414
N 0.319 0.828 0.717
N 0.497 0.592 0.342

The 8 most intense peaks (2θ = 10–90°), by angle:
| two_theta | I/Imax | (hkl) |
| --- | --- | --- |
| 27.3 | 41 | 1 -1 2 |
| 29.0 | 34 | 1 -2 2 |
| 30.1 | 91 | 1 2 -2 |
| 30.1 | 90 | 0 2 1 |
| 30.3 | 54 | -2 1 1 |
| 31.8 | 100 | 1 0 -3 |
| 32.9 | 46 | 1 -3 1 |
| 51.9 | 37 | 3 1 -3 |

=====

# Sr5Zr2N6
Theoretical powder X-ray diffraction pattern, Cu Kα X-rays. Input: a structure optimized by DFT (GGA-PBE).
Neutral-atom scattering factors, no anomalous dispersion.

Cell and atoms:
Cell: 11.231 7.172 13.869 Å, 90.00 104.40 90.00°
Space group C2/c (No. 15)
Symmetry-distinct sites (fractional):
Sr 0.000 0.152 0.250
Sr 0.023 0.246 0.011
Sr 0.156 0.346 0.723
Zr 0.226 0.422 0.435
N 0.048 0.481 0.880
N 0.143 0.003 0.141
N 0.207 0.135 0.410

The 8 most intense peaks (2θ = 10–90°), by angle:
| two_theta | I/Imax | (hkl) |
| --- | --- | --- |
| 15.4 | 29 | 1 1 -1 |
| 25.7 | 32 | 0 2 1 |
| 26.5 | 33 | 0 0 4 |
| 29.8 | 100 | 3 1 1 |
| 30.3 | 54 | 3 1 -3 |
| 31.0 | 32 | 2 2 -2 |
| 32.0 | 50 | 0 2 3 |
| 32.3 | 35 | 4 0 -2 |

=====

# Sr5Zr2N6
Theoretical powder X-ray diffraction pattern, Cu Kα X-rays. Input: a structure optimized by DFT (GGA-PBE).
Neutral-atom scattering factors, no anomalous dispersion.

Cell and atoms:
Cell: 3.685 11.677 12.562 Å, 90.00 90.09 90.00°
Space group P2_1 (No. 4)
Symmetry-distinct sites (fractional):
Sr 0.006 0.000 0.020
Sr 0.006 0.000 0.480
Sr 0.007 0.708 0.772
Sr 0.010 0.292 0.728
Sr 0.066 0.500 0.250
Zr 0.497 0.239 0.515
Zr 0.497 0.761 0.985
N 0.000 0.271 0.928
N 0.001 0.729 0.572
N 0.475 0.107 0.628
N 0.475 0.894 0.872
N 0.499 0.618 0.891
N 0.499 0.882 0.391

The 8 most intense peaks (2θ = 10–90°), by angle:
| two_theta | I/Imax | (hkl) |
| --- | --- | --- |
| 23.9 | 25 | 0 3 1 |
| 28.1 | 28 | 1 0 2 |
| 28.4 | 54 | 0 0 4 |
| 28.6 | 27 | 1 2 0 |
| 30.6 | 44 | 0 4 0 |
| 32.1 | 100 | 1 2 2 |
| 40.8 | 27 | 1 2 -4 |
| 42.3 | 39 | 0 4 4 |

=====

# Th2TaN4
Theoretical powder X-ray diffraction pattern, Cu Kα X-rays. Input: a structure optimized by DFT (GGA-PBE).
Neutral-atom scattering factors, no anomalous dispersion.

Cell and atoms:
Cell: 6.113 6.126 6.795 Å, 90.00 108.40 90.00°
Space group P2_1/m (No. 11)
Symmetry-distinct sites (fractional):
Th 0.170 0.250 0.032
Th 0.249 0.250 0.558
Ta 0.288 0.750 0.815
N 0.054 0.511 0.753
N 0.492 0.750 0.100
N 0.495 0.750 0.648

The 8 most intense peaks (2θ = 10–90°), by angle:
| two_theta | I/Imax | (hkl) |
| --- | --- | --- |
| 21.1 | 52 | 1 1 0 |
| 23.6 | 30 | 1 0 1 |
| 29.2 | 80 | 0 2 0 |
| 30.8 | 100 | 2 0 0 |
| 31.4 | 39 | 0 1 2 |
| 37.5 | 44 | 2 1 -2 |
| 38.9 | 49 | 1 1 2 |
| 42.9 | 36 | 2 2 0 |

=====

# Ta3TiN
Theoretical powder X-ray diffraction pattern, Cu Kα X-rays. Input: a structure optimized by DFT (GGA-PBE).
Neutral-atom scattering factors, no anomalous dispersion.

Cell and atoms:
Cell: 6.255 6.813 7.251 Å, 90.00 90.00 90.00°
Space group Immm (No. 71)
Symmetry-distinct sites (fractional):
Ta 0.000 0.236 0.000
Ta 0.244 0.000 0.284
Ti 0.000 0.279 0.500
N 0.247 0.500 0.500

The 8 most intense peaks (2θ = 10–90°), by angle:
| two_theta | I/Imax | (hkl) |
| --- | --- | --- |
| 18.7 | 28 | 1 0 1 |
| 36.2 | 100 | 0 2 2 |
| 38.0 | 89 | 2 0 2 |
| 39.1 | 99 | 2 2 0 |
| 53.8 | 19 | 0 4 0 |
| 65.5 | 27 | 2 2 4 |
| 67.8 | 30 | 2 4 2 |
| 71.3 | 28 | 4 2 2 |